(1)
Starting from a DFT-relaxed cell (GGA-PBE, the Materials Project), the PXRD pattern of TaCr3Ag2S8 was simulated for Cu Kα, 1.54184 Å.
Neutral-atom scattering factors, no anomalous dispersion.

Top 6 peaks for 10° ≤ 2θ ≤ 90°, sorted by position:
24.6°, rel. 58; 28.4°, rel. 46; 28.8°, rel. 96; 29.0°, rel. 45; 45.3°, rel. 39; 50.3°, rel. 100

Crystal structure
```
data_TaCr3Ag2S8
_cell_length_a 7.4133
_cell_length_b 10.1532
_cell_length_c 7.2442
_cell_angle_alpha 90.00
_cell_angle_beta 90.00
_cell_angle_gamma 90.00
_space_group_name_H-M_alt 'P 1'
_space_group_IT_number 1
_space_group_name_Hall 'P 1'
loop_
_atom_site_label
_atom_site_fract_x
_atom_site_fract_y
_atom_site_fract_z
Ta1 0.0310 0.0000 0.0000
Ta2 0.9690 0.0000 0.5000
Cr1 0.2535 0.2513 0.2440
Cr2 0.2535 0.7487 0.7560
Cr3 0.4963 0.5000 0.5000
Cr4 0.5037 0.5000 0.0000
Cr5 0.7465 0.2513 0.2560
Cr6 0.7465 0.7487 0.7440
Ag1 0.0000 0.3907 0.7500
Ag2 0.0000 0.6093 0.2500
Ag3 0.5000 0.1361 0.7500
Ag4 0.5000 0.8639 0.2500
S1 0.0044 0.2399 0.4728
S2 0.0044 0.7601 0.5272
S3 0.2297 0.0070 0.2602
S4 0.2297 0.9930 0.7398
S5 0.2840 0.4843 0.2464
S6 0.2840 0.5157 0.7536
S7 0.4955 0.2635 0.4636
S8 0.4955 0.7365 0.5364
S9 0.5045 0.2635 0.0364
S10 0.5045 0.7365 0.9636
S11 0.7160 0.4843 0.2536
S12 0.7160 0.5157 0.7464
S13 0.7703 0.0070 0.2398
S14 0.7703 0.9930 0.7602
S15 0.9956 0.2399 0.0272
S16 0.9956 0.7601 0.9728
```

---

(2)
Starting from a DFT-relaxed cell (GGA-PBE, the Materials Project), the PXRD pattern of TaCr3Ag2S8 was simulated for Cu Kα, 1.54184 Å.
Neutral-atom scattering factors, no anomalous dispersion.

Top 6 peaks for 10° ≤ 2θ ≤ 90°, sorted by position:
14.4°, rel. 39; 26.7°, rel. 100; 34.0°, rel. 39; 34.5°, rel. 27; 36.4°, rel. 30; 37.6°, rel. 31

Crystal structure
```
data_TaCr3Ag2S8
_cell_length_a 7.2830
_cell_length_b 12.2760
_cell_length_c 11.5791
_cell_angle_alpha 90.00
_cell_angle_beta 92.17
_cell_angle_gamma 90.00
_space_group_name_H-M_alt 'P 1'
_space_group_IT_number 1
_space_group_name_Hall 'P 1'
loop_
_atom_site_label
_atom_site_fract_x
_atom_site_fract_y
_atom_site_fract_z
Ta1 0.0890 0.0000 0.0985
Ta2 0.3937 0.3560 0.6145
Ta3 0.6063 0.8560 0.3855
Ta4 0.9110 0.5000 0.9015
Cr1 0.1138 0.6920 0.6413
Cr2 0.1340 0.4917 0.3804
Cr3 0.1440 0.1963 0.8643
Cr4 0.3656 0.8603 0.8724
Cr5 0.3750 0.7478 0.1636
Cr6 0.3779 0.2418 0.3404
Cr7 0.6221 0.7418 0.6596
Cr8 0.6250 0.2478 0.8364
Cr9 0.6344 0.3603 0.1276
Cr10 0.8560 0.6963 0.1357
Cr11 0.8660 0.9917 0.6196
Cr12 0.8862 0.1920 0.3587
Ag1 0.1197 0.8664 0.3823
Ag2 0.1234 0.3625 0.1180
Ag3 0.3614 0.0139 0.5928
Ag4 0.3744 0.5182 0.8975
Ag5 0.6256 0.0182 0.1025
Ag6 0.6386 0.5139 0.4072
Ag7 0.8766 0.8625 0.8820
Ag8 0.8803 0.3664 0.6177
S1 0.0621 0.0552 0.4780
S2 0.1142 0.3850 0.7866
S3 0.1193 0.5647 0.0343
S4 0.1240 0.6656 0.2754
S5 0.1278 0.8835 0.7189
S6 0.1294 0.1545 0.2232
S7 0.1474 0.3086 0.4687
S8 0.1579 0.8107 0.0207
S9 0.3255 0.0414 0.9593
S10 0.3419 0.5389 0.5401
S11 0.3685 0.1843 0.7220
S12 0.3758 0.6885 0.7738
S13 0.3862 0.4133 0.2623
S14 0.3872 0.9213 0.2422
S15 0.4018 0.7891 0.5162
S16 0.4102 0.3047 0.9759
S17 0.5898 0.8047 0.0241
S18 0.5982 0.2891 0.4838
S19 0.6128 0.4213 0.7578
S20 0.6138 0.9133 0.7377
S21 0.6242 0.1885 0.2262
S22 0.6315 0.6843 0.2780
S23 0.6581 0.0389 0.4599
S24 0.6745 0.5414 0.0407
S25 0.8421 0.3107 0.9793
S26 0.8526 0.8086 0.5313
S27 0.8706 0.6545 0.7768
S28 0.8722 0.3835 0.2811
S29 0.8760 0.1656 0.7246
S30 0.8807 0.0647 0.9657
S31 0.8858 0.8850 0.2134
S32 0.9379 0.5552 0.5220
```

---

(3)
Starting from a DFT-relaxed cell (GGA-PBE, the Materials Project), the PXRD pattern of TaCr3Ag2S8 was simulated for Cu Kα, 1.54184 Å.
Neutral-atom scattering factors, no anomalous dispersion.

Top 6 peaks for 10° ≤ 2θ ≤ 90°, sorted by position:
24.1°, rel. 67; 28.7°, rel. 100; 29.2°, rel. 49; 45.7°, rel. 40; 49.4°, rel. 47; 50.8°, rel. 41

Crystal structure
```
data_TaCr3Ag2S8
_cell_length_a 7.1990
_cell_length_b 7.1990
_cell_length_c 7.1990
_cell_angle_alpha 61.62
_cell_angle_beta 61.62
_cell_angle_gamma 61.62
_space_group_name_H-M_alt 'P 1'
_space_group_IT_number 1
_space_group_name_Hall 'P 1'
loop_
_atom_site_label
_atom_site_fract_x
_atom_site_fract_y
_atom_site_fract_z
Ta1 0.0000 0.0000 0.0000
Cr1 0.0000 0.0000 0.5000
Cr2 0.0000 0.5000 0.0000
Cr3 0.5000 0.0000 0.0000
Ag1 0.3742 0.3742 0.3742
Ag2 0.6258 0.6258 0.6258
S1 0.2120 0.7603 0.7603
S2 0.2331 0.2331 0.2331
S3 0.2397 0.2397 0.7880
S4 0.2397 0.7880 0.2397
S5 0.7603 0.2120 0.7603
S6 0.7603 0.7603 0.2120
S7 0.7669 0.7669 0.7669
S8 0.7880 0.2397 0.2397
```

---

Which formula does entry 2 have?
TaCr3Ag2S8

---

Repeat the first record exactly.
Starting from a DFT-relaxed cell (GGA-PBE, the Materials Project), the PXRD pattern of TaCr3Ag2S8 was simulated for Cu Kα, 1.54184 Å.
Neutral-atom scattering factors, no anomalous dispersion.

Top 6 peaks for 10° ≤ 2θ ≤ 90°, sorted by position:
24.6°, rel. 58; 28.4°, rel. 46; 28.8°, rel. 96; 29.0°, rel. 45; 45.3°, rel. 39; 50.3°, rel. 100

Crystal structure
```
data_TaCr3Ag2S8
_cell_length_a 7.4133
_cell_length_b 10.1532
_cell_length_c 7.2442
_cell_angle_alpha 90.00
_cell_angle_beta 90.00
_cell_angle_gamma 90.00
_space_group_name_H-M_alt 'P 1'
_space_group_IT_number 1
_space_group_name_Hall 'P 1'
loop_
_atom_site_label
_atom_site_fract_x
_atom_site_fract_y
_atom_site_fract_z
Ta1 0.0310 0.0000 0.0000
Ta2 0.9690 0.0000 0.5000
Cr1 0.2535 0.2513 0.2440
Cr2 0.2535 0.7487 0.7560
Cr3 0.4963 0.5000 0.5000
Cr4 0.5037 0.5000 0.0000
Cr5 0.7465 0.2513 0.2560
Cr6 0.7465 0.7487 0.7440
Ag1 0.0000 0.3907 0.7500
Ag2 0.0000 0.6093 0.2500
Ag3 0.5000 0.1361 0.7500
Ag4 0.5000 0.8639 0.2500
S1 0.0044 0.2399 0.4728
S2 0.0044 0.7601 0.5272
S3 0.2297 0.0070 0.2602
S4 0.2297 0.9930 0.7398
S5 0.2840 0.4843 0.2464
S6 0.2840 0.5157 0.7536
S7 0.4955 0.2635 0.4636
S8 0.4955 0.7365 0.5364
S9 0.5045 0.2635 0.0364
S10 0.5045 0.7365 0.9636
S11 0.7160 0.4843 0.2536
S12 0.7160 0.5157 0.7464
S13 0.7703 0.0070 0.2398
S14 0.7703 0.9930 0.7602
S15 0.9956 0.2399 0.0272
S16 0.9956 0.7601 0.9728
```